This entry pairs a crystal structure of K2Nb3Cl7O5 with its theoretical XRD peak list. Radiation: Cu Kα (weighted mean of Kα1 and Kα2). Structure: a structure optimized by DFT (PBE).
Neutral-atom scattering factors, no anomalous dispersion.

Peak list (10 most intense, 10 to 80 degrees two-theta, sorted by position)
hkl	two_theta	intensity
2 0 0	11.20	1000
1 1 -2	18.53	186
3 1 -2	21.13	178
4 0 0	22.52	196
2 2 -2	25.69	596
0 2 2	26.17	408
2 0 -4	31.64	215
6 0 0	34.06	365
4 2 2	39.12	167
4 0 4	48.86	171

Atomic structure:
a b c (Å): 17.180 8.996 11.337
angles (deg): 90.00 113.16 90.00
Space group C2/c (No. 15)
Unique sites:
K1 0.199 0.037 0.357 [8 per cell]
Nb1 0.000 0.463 0.250 [4 per cell]
Nb2 0.002 0.212 0.973 [8 per cell]
Cl1 0.000 0.085 0.750 [4 per cell]
Cl2 0.151 0.423 0.341 [8 per cell]
Cl3 0.152 0.212 0.635 [8 per cell]
Cl4 0.156 0.206 0.047 [8 per cell]
O1 0.000 0.000 0.000 [4 per cell]
O2 0.001 0.398 0.873 [8 per cell]
O3 0.002 0.288 0.121 [8 per cell]

---

This entry pairs a crystal structure of K2NdCl5 with its theoretical XRD peak list. Radiation: Cu Kα (weighted mean of Kα1 and Kα2). Structure: a structure optimized by DFT (PBE).
Neutral-atom scattering factors, no anomalous dispersion.

Peak list (10 most intense, 10 to 80 degrees two-theta, sorted by position)
hkl	two_theta	intensity
1 0 1	12.81	1000
2 0 0	13.58	518
0 2 0	20.16	412
3 0 1	23.19	402
1 2 1	23.97	557
2 2 2	32.95	516
4 2 0	34.23	421
2 1 3	37.27	440
0 4 0	41.00	416
5 2 1	41.76	386

Atomic structure:
a b c (Å): 13.037 8.802 8.154
angles (deg): 90.00 90.00 90.00
Space group Pnma (No. 62)
Unique sites:
K1 0.173 0.003 0.044 [8 per cell]
Nd1 0.006 0.250 0.574 [4 per cell]
Cl1 0.010 0.250 0.918 [4 per cell]
Cl2 0.080 0.542 0.660 [8 per cell]
Cl3 0.176 0.250 0.370 [4 per cell]
Cl4 0.201 0.750 0.333 [4 per cell]

---

This entry pairs a crystal structure of K2NdCl5 with its theoretical XRD peak list. Radiation: Cu Kα (weighted mean of Kα1 and Kα2). Structure: a structure optimized by DFT (PBE).
Neutral-atom scattering factors, no anomalous dispersion.

Peak list (10 most intense, 10 to 80 degrees two-theta, sorted by position)
hkl	two_theta	intensity
0 0 1	11.09	551
1 1 0	15.49	1000
1 1 1	20.91	337
1 1 -2	24.38	195
2 2 -1	30.92	333
3 1 -1	31.73	314
0 0 3	33.70	223
2 2 -2	34.54	329
2 2 1	35.48	215
4 0 -1	39.58	184

Atomic structure:
a b c (Å): 9.114 7.632 8.412
angles (deg): 90.00 108.45 90.00
Space group Cm (No. 8)
Unique sites:
K1 0.000 0.000 0.000 [2 per cell]
K2 0.033 0.500 0.660 [2 per cell]
Nd1 0.239 0.500 0.276 [2 per cell]
Cl1 0.043 0.252 0.343 [4 per cell]
Cl2 0.210 0.287 0.000 [4 per cell]
Cl3 0.371 0.500 0.614 [2 per cell]

---

This entry pairs a crystal structure of KRb2NdCl6 with its theoretical XRD peak list. Radiation: Cu Kα (weighted mean of Kα1 and Kα2). Structure: a structure optimized by DFT (PBE).
Neutral-atom scattering factors, no anomalous dispersion.

Peak list (10 most intense, 10 to 80 degrees two-theta, sorted by position)
hkl	two_theta	intensity
0 1 1	13.43	695
1 0 -2	13.97	397
0 2 0	21.71	395
1 1 1	22.29	1000
1 1 -3	22.57	979
2 1 -1	26.43	444
2 2 -2	31.68	806
0 0 4	32.18	470
3 1 -1	39.55	567
2 0 -6	40.08	583

Atomic structure:
a b c (Å): 7.803 8.188 13.486
angles (deg): 90.00 124.40 90.00
Space group P2_1/c (No. 14)
Unique sites:
K1 0.000 0.000 0.000 [2 per cell]
Rb1 0.221 0.067 0.745 [4 per cell]
Nd1 0.500 0.000 0.500 [2 per cell]
Cl1 0.165 0.187 0.447 [4 per cell]
Cl2 0.255 0.724 0.434 [4 per cell]
Cl3 0.382 0.045 0.267 [4 per cell]

---

This entry pairs a crystal structure of K2NiCl7 with its theoretical XRD peak list. Radiation: Cu Kα (weighted mean of Kα1 and Kα2). Structure: a structure optimized by DFT (PBE).
Neutral-atom scattering factors, no anomalous dispersion.

Peak list (10 most intense, 10 to 80 degrees two-theta, sorted by position)
hkl	two_theta	intensity
2 0 0	12.89	600
1 1 -1	14.00	683
0 0 2	16.87	863
1 1 -2	19.18	708
3 1 0	22.47	824
0 2 0	22.60	623
2 0 -4	31.28	1000
4 2 -2	33.71	660
2 2 2	34.06	716
6 0 0	39.36	515

Atomic structure:
a b c (Å): 14.978 7.870 11.440
angles (deg): 90.00 113.53 90.00
Space group C2/c (No. 15)
Unique sites:
K1 0.177 0.025 0.083 [8 per cell]
Ni1 0.000 0.266 0.250 [4 per cell]
Cl1 0.000 0.453 0.750 [4 per cell]
Cl2 0.008 0.245 0.446 [8 per cell]
Cl3 0.134 0.225 0.813 [8 per cell]
Cl4 0.159 0.231 0.324 [8 per cell]

---

This entry pairs a crystal structure of K3Ni2Cl9 with its theoretical XRD peak list. Radiation: Cu Kα (weighted mean of Kα1 and Kα2). Structure: a structure optimized by DFT (PBE).
Neutral-atom scattering factors, no anomalous dispersion.

Peak list (10 most intense, 10 to 80 degrees two-theta, sorted by position)
hkl	two_theta	intensity
0 1 2	12.76	585
1 1 0	15.39	501
1 0 4	20.42	179
3 0 0	26.82	152
0 0 6	27.69	127
1 1 6	31.83	185
2 2 3	34.12	1000
2 2 6	42.09	374
4 1 6	50.62	128
6 0 0	55.28	310

Atomic structure:
a b c (Å): 11.5132 11.5132 19.3327
angles (deg): 90.00 90.00 120.00
Space group R-3c (No. 167, hexagonal axes)
Unique sites:
K1 0.0000 0.3399 0.2500 [18 per cell]
Ni1 0.0000 0.0000 0.1722 [12 per cell]
Cl1 0.0000 0.1575 0.7500 [18 per cell]
Cl2 0.0026 0.1668 0.1080 [36 per cell]